For CeFe3Si3, a PBE-relaxed structure gives the theoretical XRD peak list in this record (Cu Kα X-rays).

Main lines, most intense first (10 to 80 degrees two-theta):
2θ (°)	intensity	(hkl)
41.33	100	1 2 1
25.52	53	1 0 1
34.59	37	1 2 0
22.45	35	1 1 0
44.71	26	0 0 2
25.97	24	2 0 0

Cell and atoms:
```
data_CeFe3Si3
_space_group_name_H-M_alt 'P 63/m'
_space_group_IT_number 176
_space_group_name_Hall '-P 6c'
_cell_length_a 7.9220
_cell_length_b 7.9220
_cell_length_c 4.0534
_cell_angle_alpha 90.00
_cell_angle_beta 90.00
_cell_angle_gamma 120.00
loop_
_atom_site_label
_atom_site_type_symbol
_atom_site_fract_x
_atom_site_fract_y
_atom_site_fract_z
Ce1 Ce 0.3333 0.6667 0.2500
Fe1 Fe 0.0480 0.8417 0.2500
Si1 Si 0.0814 0.7083 0.7500
```

---

For Ce2Fe2Si, a PBE-relaxed structure gives the theoretical XRD peak list in this record (Cu Kα X-rays).

Main lines, most intense first (10 to 80 degrees two-theta):
2θ (°)	intensity	(hkl)
26.10	100	2 0 -2
33.90	73	2 0 2
39.55	67	1 1 -3
24.96	67	1 1 1
42.18	66	2 2 -1
37.32	50	4 0 0

Cell and atoms:
```
data_Ce2Fe2Si
_space_group_name_H-M_alt 'C 1 2/c 1'
_space_group_IT_number 15
_cell_length_a 9.9746
_cell_length_b 4.8333
_cell_length_c 7.7517
_cell_angle_alpha 90.00
_cell_angle_beta 104.96
_cell_angle_gamma 90.00
loop_
_space_group_symop_operation_xyz
'x,y,z'
'-x,-y,-z'
'-x,y,-z+1/2'
'x,-y,z+1/2'
'x+1/2,y+1/2,z'
'-x+1/2,-y+1/2,-z'
'-x+1/2,y+1/2,-z+1/2'
'x+1/2,-y+1/2,z+1/2'
loop_
_atom_site_label
_atom_site_type_symbol
_atom_site_fract_x
_atom_site_fract_y
_atom_site_fract_z
Ce1 Ce 0.1503 0.1609 0.1322
Fe1 Fe 0.1293 0.4000 0.5271
Si1 Si 0.0000 0.3702 0.7500
```

---

For Ce8FeSn4, a PBE-relaxed structure gives the theoretical XRD peak list in this record (Cu Kα X-rays).

Main lines, most intense first (10 to 80 degrees two-theta):
2θ (°)	intensity	(hkl)
32.79	100	1 1 3
31.98	75	1 1 -3
34.49	56	2 0 0
56.39	28	2 2 0
43.17	25	0 2 0
61.21	16	3 1 3

Cell and atoms:
```
data_Ce8FeSn4
_space_group_name_H-M_alt 'P 1 m 1'
_space_group_IT_number 6
_cell_length_a 5.2062
_cell_length_b 4.1911
_cell_length_c 15.6150
_cell_angle_alpha 90.00
_cell_angle_beta 92.46
_cell_angle_gamma 90.00
loop_
_space_group_symop_operation_xyz
'x,y,z'
'x,-y,z'
loop_
_atom_site_label
_atom_site_type_symbol
_atom_site_fract_x
_atom_site_fract_y
_atom_site_fract_z
Ce1 Ce 0.0000 0.0000 0.0000
Ce2 Ce 0.0136 0.0000 0.3260
Ce3 Ce 0.0342 0.5000 0.4574
Ce4 Ce 0.4929 0.0000 0.1540
Ce5 Ce 0.5095 0.5000 0.2885
Ce6 Ce 0.5373 0.0000 0.8092
Ce7 Ce 0.5949 0.5000 0.6135
Ce8 Ce 0.9286 0.5000 0.8213
Fe1 Fe 0.3242 0.5000 0.7095
Sn1 Sn 0.0542 0.0000 0.6574
Sn2 Sn 0.4854 0.5000 0.9735
Sn3 Sn 0.5292 0.0000 0.4481
Sn4 Sn 0.9929 0.5000 0.1649
```

---

For Ce4FeSn8, a PBE-relaxed structure gives the theoretical XRD peak list in this record (Cu Kα X-rays).

Main lines, most intense first (10 to 80 degrees two-theta):
2θ (°)	intensity	(hkl)
32.29	100	1 1 3
39.52	19	0 2 0
40.23	18	2 0 0
32.16	17	0 0 6
67.15	13	1 3 3
57.66	12	2 2 0

Cell and atoms:
```
data_Ce4FeSn8
_space_group_name_H-M_alt 'P m m 2'
_space_group_IT_number 25
_cell_length_a 4.4835
_cell_length_b 4.5610
_cell_length_c 16.6988
_cell_angle_alpha 90.00
_cell_angle_beta 90.00
_cell_angle_gamma 90.00
loop_
_space_group_symop_operation_xyz
'x,y,z'
'-x,-y,z'
'-x,y,z'
'x,-y,z'
loop_
_atom_site_label
_atom_site_type_symbol
_atom_site_fract_x
_atom_site_fract_y
_atom_site_fract_z
Ce1 Ce 0.0000 0.0000 0.0000
Ce2 Ce 0.0000 0.5000 0.4915
Ce3 Ce 0.5000 0.0000 0.7888
Ce4 Ce 0.5000 0.5000 0.2962
Fe1 Fe 0.0000 0.5000 0.6997
Sn1 Sn 0.0000 0.0000 0.3287
Sn2 Sn 0.0000 0.0000 0.6308
Sn3 Sn 0.0000 0.5000 0.1476
Sn4 Sn 0.0000 0.5000 0.8496
Sn5 Sn 0.5000 0.0000 0.1497
Sn6 Sn 0.5000 0.0000 0.4561
Sn7 Sn 0.5000 0.5000 0.6294
Sn8 Sn 0.5000 0.5000 0.9695
```

---

For CeThFe10, a PBE-relaxed structure gives the theoretical XRD peak list in this record (Cu Kα X-rays).

Main lines, most intense first (10 to 80 degrees two-theta):
2θ (°)	intensity	(hkl)
42.37	100	1 2 0
30.19	65	1 1 1
41.52	37	0 2 2
35.75	36	0 2 0
44.86	25	2 0 0
68.78	22	1 3 3

Cell and atoms:
```
data_CeThFe10
_space_group_name_H-M_alt 'P m m m'
_space_group_IT_number 47
_cell_length_a 4.0408
_cell_length_b 5.0236
_cell_length_c 8.7003
_cell_angle_alpha 90.00
_cell_angle_beta 90.00
_cell_angle_gamma 90.00
loop_
_space_group_symop_operation_xyz
'x,y,z'
'-x,-y,-z'
'-x,-y,z'
'x,y,-z'
'x,-y,-z'
'-x,y,z'
'-x,y,-z'
'x,-y,z'
loop_
_atom_site_label
_atom_site_type_symbol
_atom_site_fract_x
_atom_site_fract_y
_atom_site_fract_z
Ce1 Ce 0.0000 0.0000 0.0000
Th1 Th 0.0000 0.5000 0.5000
Fe1 Fe 0.0000 0.0000 0.3299
Fe2 Fe 0.0000 0.5000 0.1632
Fe3 Fe 0.5000 0.0000 0.5000
Fe4 Fe 0.5000 0.2505 0.2492
Fe5 Fe 0.5000 0.5000 0.0000
```

---

For CeThFe, a PBE-relaxed structure gives the theoretical XRD peak list in this record (Cu Kα X-rays).

Main lines, most intense first (10 to 80 degrees two-theta):
2θ (°)	intensity	(hkl)
35.64	100	2 0 2
29.77	86	2 1 0
28.57	82	0 1 2
34.60	50	2 0 -2
31.00	40	0 2 0
52.05	38	4 0 0

Cell and atoms:
```
data_CeThFe
_space_group_name_H-M_alt 'P 1 21/c 1'
_space_group_IT_number 14
_cell_length_a 7.0309
_cell_length_b 5.7726
_cell_length_c 7.4342
_cell_angle_alpha 90.00
_cell_angle_beta 91.73
_cell_angle_gamma 90.00
loop_
_space_group_symop_operation_xyz
'x,y,z'
'-x,-y,-z'
'-x,y+1/2,-z+1/2'
'x,-y+1/2,z+1/2'
loop_
_atom_site_label
_atom_site_type_symbol
_atom_site_fract_x
_atom_site_fract_y
_atom_site_fract_z
Ce1 Ce 0.1187 0.2291 0.3793
Th1 Th 0.3732 0.6552 0.6744
Fe1 Fe 0.3546 0.1347 0.5572
```

---

For CeTiFe11, a PBE-relaxed structure gives the theoretical XRD peak list in this record (Cu Kα X-rays).

Main lines, most intense first (10 to 80 degrees two-theta):
2θ (°)	intensity	(hkl)
42.88	100	1 3 2
44.21	70	2 0 2
42.43	65	0 0 4
37.03	43	1 3 0
30.26	36	1 2 1
49.36	29	2 2 2

Cell and atoms:
```
data_CeTiFe11
_space_group_name_H-M_alt 'I m m 2'
_space_group_IT_number 44
_cell_length_a 4.6731
_cell_length_b 8.5250
_cell_length_c 8.5198
_cell_angle_alpha 90.00
_cell_angle_beta 90.00
_cell_angle_gamma 90.00
loop_
_space_group_symop_operation_xyz
'x,y,z'
'-x,-y,z'
'-x,y,z'
'x,-y,z'
'x+1/2,y+1/2,z+1/2'
'-x+1/2,-y+1/2,z+1/2'
'-x+1/2,y+1/2,z+1/2'
'x+1/2,-y+1/2,z+1/2'
loop_
_atom_site_label
_atom_site_type_symbol
_atom_site_fract_x
_atom_site_fract_y
_atom_site_fract_z
Ce1 Ce 0.0000 0.0000 0.0000
Ti1 Ti 0.0000 0.0000 0.6222
Fe1 Fe 0.0000 0.0000 0.3457
Fe2 Fe 0.0000 0.2784 0.4924
Fe3 Fe 0.0000 0.3568 0.9934
Fe4 Fe 0.0000 0.5000 0.2656
Fe5 Fe 0.0000 0.5000 0.7254
Fe6 Fe 0.2498 0.2495 0.2444
```

---

For CeTiFe, a PBE-relaxed structure gives the theoretical XRD peak list in this record (Cu Kα X-rays).

Main lines, most intense first (10 to 80 degrees two-theta):
2θ (°)	intensity	(hkl)
34.55	100	2 2 1
34.16	97	0 2 -1
35.00	88	2 0 2
38.87	80	2 -1 1
42.50	74	0 2 2
40.44	71	2 1 -1

Cell and atoms:
```
data_CeTiFe
_space_group_name_H-M_alt 'P 1'
_space_group_IT_number 1
_cell_length_a 6.2978
_cell_length_b 6.3210
_cell_length_c 6.5955
_cell_angle_alpha 80.37
_cell_angle_beta 65.46
_cell_angle_gamma 69.06
loop_
_space_group_symop_operation_xyz
'x,y,z'
loop_
_atom_site_label
_atom_site_type_symbol
_atom_site_fract_x
_atom_site_fract_y
_atom_site_fract_z
Ce1 Ce 0.0000 0.0000 0.0000
Ce2 Ce 0.0762 0.5103 0.0538
Ce3 Ce 0.3590 0.3923 0.6180
Ce4 Ce 0.5263 0.5066 0.0578
Ti1 Ti 0.0630 0.8649 0.5140
Ti2 Ti 0.4068 0.0467 0.1871
Ti3 Ti 0.5706 0.8686 0.5681
Ti4 Ti 0.9005 0.3915 0.5593
Fe1 Fe 0.6137 0.1574 0.7880
Fe2 Fe 0.6222 0.6400 0.3068
Fe3 Fe 0.7777 0.7279 0.8303
Fe4 Fe 0.8297 0.1728 0.3146
```

---

For CeYFe17, a PBE-relaxed structure gives the theoretical XRD peak list in this record (Cu Kα X-rays).

Main lines, most intense first (10 to 80 degrees two-theta):
2θ (°)	intensity	(hkl)
43.02	100	3 0 2
42.81	58	2 2 0
36.85	38	3 0 0
43.63	34	0 0 4
40.90	33	2 0 3
48.36	33	2 2 2

Cell and atoms:
```
data_CeYFe17
_space_group_name_H-M_alt 'P 63/m m c'
_space_group_IT_number 194
_space_group_name_Hall '-P 6c 2c'
_cell_length_a 8.4485
_cell_length_b 8.4485
_cell_length_c 8.2975
_cell_angle_alpha 90.00
_cell_angle_beta 90.00
_cell_angle_gamma 120.00
loop_
_atom_site_label
_atom_site_type_symbol
_atom_site_fract_x
_atom_site_fract_y
_atom_site_fract_z
Ce1 Ce 0.3333 0.6667 0.2500
Y1 Y 0.0000 0.0000 0.2500
Fe1 Fe 0.0000 0.5000 0.0000
Fe2 Fe 0.0383 0.3679 0.7500
Fe3 Fe 0.1658 0.3316 0.0137
Fe4 Fe 0.3333 0.6667 0.6069
```

---

For CeZnFe, a PBE-relaxed structure gives the theoretical XRD peak list in this record (Cu Kα X-rays).

Main lines, most intense first (10 to 80 degrees two-theta):
2θ (°)	intensity	(hkl)
34.07	100	0 1 2
32.60	57	1 1 0
35.64	42	1 1 1
47.87	37	2 0 2
23.41	34	1 0 1
52.94	28	1 2 1

Cell and atoms:
```
data_CeZnFe
_space_group_name_H-M_alt 'P 32'
_space_group_IT_number 145
_cell_length_a 5.4933
_cell_length_b 5.4933
_cell_length_c 6.3185
_cell_angle_alpha 90.00
_cell_angle_beta 90.00
_cell_angle_gamma 120.00
loop_
_space_group_symop_operation_xyz
'x,y,z'
'-y,x-y,z+2/3'
'-x+y,-x,z+1/3'
loop_
_atom_site_label
_atom_site_type_symbol
_atom_site_fract_x
_atom_site_fract_y
_atom_site_fract_z
Ce1 Ce 0.0057 0.5675 0.0000
Zn1 Zn 0.3300 0.3260 0.1692
Fe1 Fe 0.0387 0.2045 0.5209
```

---

For Ce2ZrFe9, a PBE-relaxed structure gives the theoretical XRD peak list in this record (Cu Kα X-rays).

Main lines, most intense first (10 to 80 degrees two-theta):
2θ (°)	intensity	(hkl)
42.55	100	1 1 6
36.31	46	1 1 0
32.75	44	1 0 7
42.34	33	0 2 1
35.68	28	0 1 8
69.62	21	0 3 6

Cell and atoms:
```
data_Ce2ZrFe9
_space_group_name_H-M_alt 'R -3 m'
_space_group_IT_number 166
_space_group_name_Hall '-R 3 2"'
_cell_length_a 4.9485
_cell_length_b 4.9485
_cell_length_c 24.8661
_cell_angle_alpha 90.00
_cell_angle_beta 90.00
_cell_angle_gamma 120.00
loop_
_atom_site_label
_atom_site_type_symbol
_atom_site_fract_x
_atom_site_fract_y
_atom_site_fract_z
Ce1 Ce 0.0000 0.0000 0.1435
Zr1 Zr 0.0000 0.0000 0.0000
Fe1 Fe 0.0000 0.0000 0.3328
Fe2 Fe 0.0000 0.0000 0.5000
Fe3 Fe 0.0016 0.5008 0.0798
```

---

For Ce4Ga3, a PBE-relaxed structure gives the theoretical XRD peak list in this record (Cu Kα X-rays).

Main lines, most intense first (10 to 80 degrees two-theta):
2θ (°)	intensity	(hkl)
37.48	100	1 1 -2
37.00	75	5 1 -1
35.64	47	4 0 1
42.29	42	0 2 0
28.99	41	3 1 -1
28.71	33	1 1 1

Cell and atoms:
```
data_Ce4Ga3
_space_group_name_H-M_alt 'C 1 2/m 1'
_space_group_IT_number 12
_cell_length_a 14.8988
_cell_length_b 4.2757
_cell_length_c 5.9052
_cell_angle_alpha 90.00
_cell_angle_beta 112.18
_cell_angle_gamma 90.00
loop_
_space_group_symop_operation_xyz
'x,y,z'
'-x,-y,-z'
'-x,y,-z'
'x,-y,z'
'x+1/2,y+1/2,z'
'-x+1/2,-y+1/2,-z'
'-x+1/2,y+1/2,-z'
'x+1/2,-y+1/2,z'
loop_
_atom_site_label
_atom_site_type_symbol
_atom_site_fract_x
_atom_site_fract_y
_atom_site_fract_z
Ce1 Ce 0.0765 0.0000 0.2923
Ce2 Ce 0.1332 0.5000 0.0485
Ga1 Ga 0.0000 0.5000 0.5000
Ga2 Ga 0.2137 0.5000 0.6261
```